AgOs: calculated XRD peak list (CuKα), based on DFT lattice parameters and positions (PBE).
Intensities are scaled so that the largest is 100.

Structural model:
```
4
Lattice="2.7893 0.0000 0.0000 -1.3946 2.4156 0.0000 0.0000 0.0000 9.4826" Properties=species:S:1:pos:R:3 pbc="T T T"
Ag 0.0000 0.0000 0.0000
Ag 0.0000 1.6104 6.9768
Os 0.0000 1.6104 2.4894
Os 1.3946 0.8052 4.5109
```

Main lines, low angle first (10 to 80 degrees two-theta):
two_theta	I_rel
37.22	9
37.95	34
38.46	45
41.98	100
47.37	31
54.21	9
62.24	11
67.12	22
71.31	16
79.78	23



CaPrSn2: calculated XRD peak list (CuKα), based on DFT lattice parameters and positions (PBE).
Intensities are scaled so that the largest is 100.

Structural model:
```
4
Lattice="4.3668 0.0000 0.0000 0.0000 2.3867 5.8657 0.0000 -2.3867 5.8657" Properties=species:S:1:pos:R:3 pbc="T T T"
Ca 0.0000 0.0000 0.0000
Pr 2.1834 0.0000 8.5564
Sn 0.0000 0.0000 3.2526
Sn 2.1834 0.0000 5.2987
```

Main lines, low angle first (10 to 80 degrees two-theta):
two_theta	I_rel
15.10	26
20.08	20
28.73	100
30.48	30
36.12	93
36.92	24
37.69	30
41.35	23
53.78	17
57.18	18